For Sr4CaMn2Ga2O10, the GGA+U geometry in the Materials Project gives the theoretical PXRD pattern in this record (Cu Kα (λ = 1.5418 Å)).
Kinematic intensities with the Lorentz-polarization factor, no thermal factor.

Peak list (6 most intense, 2θ from 5° to 70°, low angle first)
| 2θ (°) | I_rel | hkl |
| --- | --- | --- |
| 29.62 | 58 | 0 4 1 |
| 30.22 | 32 | 2 0 0 |
| 30.48 | 63 | 2 0 -2 |
| 30.89 | 100 | 2 4 -1 |
| 38.31 | 42 | 0 6 1 |
| 39.33 | 34 | 2 6 -1 |

```
data_Sr4CaMn2Ga2O10
_cell_length_a 8.011
_cell_length_b 16.757
_cell_length_c 5.884
_cell_angle_alpha 90.00
_cell_angle_beta 132.41
_cell_angle_gamma 90.00
_space_group_name_H-M_alt 'C 1 2 1'
_space_group_IT_number 5
loop_
_space_group_symop_operation_xyz
'x,y,z'
'-x,y,-z'
'x+1/2,y+1/2,z'
'-x+1/2,y+1/2,-z'
loop_
_atom_site_label
_atom_site_type_symbol
_atom_site_fract_x
_atom_site_fract_y
_atom_site_fract_z
Sr1 Sr 0.199 0.000 0.391
Sr2 Sr 0.209 0.802 0.458
Ca1 Ca 0.000 0.590 0.000
Mn1 Mn 0.222 0.396 0.991
Ga1 Ga 0.107 0.169 0.821
O1 O 0.000 0.399 0.500
O2 O 0.000 0.458 0.000
O3 O 0.000 0.897 0.000
O4 O 0.000 0.904 0.500
O5 O 0.201 0.161 0.572
O6 O 0.214 0.073 0.021
O7 O 0.220 0.264 0.030
```



For Sr4CaMn2Ga2O10, the GGA+U geometry in the Materials Project gives the theoretical PXRD pattern in this record (Cu Kα (λ = 1.5418 Å)).
Kinematic intensities with the Lorentz-polarization factor, no thermal factor.

Peak list (6 most intense, 2θ from 5° to 70°, low angle first)
| 2θ (°) | I_rel | hkl |
| --- | --- | --- |
| 21.67 | 46 | 1 1 0 |
| 28.62 | 100 | 1 -1 2 |
| 29.13 | 58 | 0 2 -2 |
| 29.49 | 59 | 2 0 -1 |
| 30.36 | 76 | 1 0 2 |
| 32.29 | 80 | -1 1 2 |

```
data_Sr4CaMn2Ga2O10
_cell_length_a 6.158
_cell_length_b 6.761
_cell_length_c 8.438
_cell_angle_alpha 112.06
_cell_angle_beta 100.98
_cell_angle_gamma 91.73
_space_group_name_H-M_alt 'P 1'
_space_group_IT_number 1
loop_
_space_group_symop_operation_xyz
'x,y,z'
loop_
_atom_site_label
_atom_site_type_symbol
_atom_site_fract_x
_atom_site_fract_y
_atom_site_fract_z
Sr1 Sr 0.000 0.000 0.000
Sr2 Sr 0.079 0.944 0.424
Sr3 Sr 0.521 0.404 0.996
Sr4 Sr 0.766 0.421 0.463
Ca1 Ca 0.043 0.544 0.004
Mn1 Mn 0.245 0.431 0.316
Mn2 Mn 0.532 0.911 0.202
Ga1 Ga 0.351 0.760 0.716
Ga2 Ga 0.646 0.029 0.667
O1 O 0.037 0.214 0.305
O2 O 0.127 0.633 0.512
O3 O 0.278 0.711 0.902
O4 O 0.343 0.662 0.240
O5 O 0.358 0.057 0.725
O6 O 0.430 0.221 0.185
O7 O 0.657 0.759 0.694
O8 O 0.703 0.065 0.475
O9 O 0.801 0.748 0.114
O10 O 0.833 0.235 0.866
```



For Sr4CaMn2Ga2O10, the GGA+U geometry in the Materials Project gives the theoretical PXRD pattern in this record (Cu Kα (λ = 1.5418 Å)).
Kinematic intensities with the Lorentz-polarization factor, no thermal factor.

Peak list (6 most intense, 2θ from 5° to 70°, low angle first)
| 2θ (°) | I_rel | hkl |
| --- | --- | --- |
| 27.97 | 44 | 1 0 2 |
| 29.57 | 100 | 0 2 -1 |
| 30.10 | 85 | -1 1 2 |
| 30.74 | 69 | 0 1 -3 |
| 31.46 | 83 | 1 -2 1 |
| 41.96 | 37 | 1 2 1 |

```
data_Sr4CaMn2Ga2O10
_cell_length_a 6.048
_cell_length_b 6.108
_cell_length_c 8.980
_cell_angle_alpha 105.91
_cell_angle_beta 97.47
_cell_angle_gamma 98.06
_space_group_name_H-M_alt 'P -1'
_space_group_IT_number 2
loop_
_space_group_symop_operation_xyz
'x,y,z'
'-x,-y,-z'
loop_
_atom_site_label
_atom_site_type_symbol
_atom_site_fract_x
_atom_site_fract_y
_atom_site_fract_z
Sr1 Sr 0.074 0.136 0.204
Sr2 Sr 0.189 0.405 0.648
Ca1 Ca 0.500 0.500 0.000
Mn1 Mn 0.000 0.500 0.000
Mn2 Mn 0.500 0.000 0.000
Ga1 Ga 0.325 0.817 0.448
O1 O 0.126 0.751 0.573
O2 O 0.209 0.203 0.951
O3 O 0.225 0.604 0.250
O4 O 0.258 0.707 0.915
O5 O 0.366 0.140 0.452
```



For Sr4CaMn2Ga2O10, the GGA+U geometry in the Materials Project gives the theoretical PXRD pattern in this record (Cu Kα (λ = 1.5418 Å)).
Kinematic intensities with the Lorentz-polarization factor, no thermal factor.

Peak list (6 most intense, 2θ from 5° to 70°, low angle first)
| 2θ (°) | I_rel | hkl |
| --- | --- | --- |
| 21.76 | 72 | 1 0 1 |
| 29.22 | 86 | 0 2 -1 |
| 29.34 | 84 | 2 0 -1 |
| 30.91 | 77 | 2 -1 0 |
| 31.27 | 100 | 1 1 1 |
| 31.28 | 94 | 1 1 -3 |

```
data_Sr4CaMn2Ga2O10
_cell_length_a 6.179
_cell_length_b 6.204
_cell_length_c 9.125
_cell_angle_alpha 106.67
_cell_angle_beta 106.00
_cell_angle_gamma 99.84
_space_group_name_H-M_alt 'P 1'
_space_group_IT_number 1
loop_
_space_group_symop_operation_xyz
'x,y,z'
loop_
_atom_site_label
_atom_site_type_symbol
_atom_site_fract_x
_atom_site_fract_y
_atom_site_fract_z
Sr1 Sr 0.000 0.000 0.000
Sr2 Sr 0.099 0.322 0.422
Sr3 Sr 0.341 0.648 0.998
Sr4 Sr 0.670 0.744 0.421
Ca1 Ca 0.658 0.314 0.976
Mn1 Mn 0.058 0.709 0.259
Mn2 Mn 0.550 0.193 0.260
Ga1 Ga 0.341 0.988 0.692
Ga2 Ga 0.697 0.350 0.693
O1 O 0.133 0.773 0.509
O2 O 0.277 0.932 0.213
O3 O 0.282 0.431 0.211
O4 O 0.342 0.988 0.897
O5 O 0.386 0.323 0.719
O6 O 0.678 0.042 0.719
O7 O 0.723 0.381 0.509
O8 O 0.781 0.930 0.219
O9 O 0.792 0.435 0.231
O10 O 0.899 0.555 0.897
```